Simulated powder diffractogram
Compound: LiNi5O5F
Radiation: Cu Kα (weighted mean of Kα1 and Kα2)
Structure: a PBE+U-relaxed structure
Neutral-atom scattering factors, no anomalous dispersion.

Main lines, by intensity (2θ = 15–90°):
- 2θ 43.06, I = 100
- 2θ 36.97, I = 90
- 2θ 62.29, I = 58
- 2θ 42.75, I = 51
- 2θ 62.53, I = 29
- 2θ 78.72, I = 27
- 2θ 74.91, I = 24
- 2θ 74.49, I = 12
- 2θ 30.91, I = 10
- 2θ 33.30, I = 8
- 2θ 21.00, I = 6
- 2θ 30.08, I = 6

Structure:
```
12
Lattice="2.9710 0.0000 0.0000 0.0000 2.9710 0.0000 0.0000 0.0000 12.6900" Properties=species:S:1:pos:R:3 pbc="T T T"
Li 0.0000 0.0000 0.0000
Ni 0.0000 0.0000 4.2258
Ni 0.0000 0.0000 8.4642
Ni 1.4855 1.4855 2.1489
Ni 1.4855 1.4855 6.3450
Ni 1.4855 1.4855 10.5412
O 0.0000 0.0000 2.1074
O 0.0000 0.0000 6.3450
O 0.0000 0.0000 10.5827
O 1.4855 1.4855 4.2351
O 1.4855 1.4855 8.4549
F 1.4855 1.4855 0.0000
```